Structure and computed powder diffraction line list of BaPrCrO4 (a DFT-relaxed cell (GGA+U, Alexandria); Cu Kα X-rays).
Intensities are scaled so that the largest is 100.

Most intense lines, 2θ from 10° to 90°, by intensity:
d_spacing	I_rel
2.911	100
2.813	71
1.642	37
1.989	36
2.114	34
3.799	28
3.205	16
1.701	14
2.155	12
1.663	12
1.258	11
1.456	11

Structural model:
```
BaPrCrO4
1.0
-1.989 1.989 6.410
1.989 -1.989 6.410
1.989 1.989 -6.410
Ba Pr Cr O
1 1 1 4
Direct
0.000 0.000 0.000
0.717 0.717 0.000
0.355 0.355 0.000
0.197 0.197 0.000
0.341 0.841 0.500
0.527 0.527 0.000
0.841 0.341 0.500
```